Record 1
BaMg14Mn: simulated X-ray powder pattern (Cu Kα X-rays), based on a DFT-relaxed cell (GGA-PBE, the Materials Project).

Top 10 peaks for 2θ from 5° to 70°, low angle first:
8.4 deg, I 57, hkl 1 0 0; 17.5 deg, I 25, hkl 1 0 2; 31.8 deg, I 32, hkl 0 2 2; 34.2 deg, I 39, hkl 4 0 0; 35.5 deg, I 58, hkl 2 0 4; 36.2 deg, I 100, hkl 2 2 2; 47.4 deg, I 20, hkl 4 2 2; 55.6 deg, I 18, hkl 0 2 6; 62.6 deg, I 18, hkl 6 2 2; 66.9 deg, I 20, hkl 4 2 6

Crystal structure
Lattice parameters (Å, degrees): 10.485 6.454 11.552 90.00 90.00 90.00
Space group Amm2 (No. 38)
One atom of each set of equivalent atoms:
Ba 0.000 0.000 0.000 x2
Mg 0.000 0.240 0.251 x4
Mg 0.234 0.000 0.651 x4
Mg 0.260 0.239 0.405 x8
Mg 0.269 0.000 0.163 x4
Mg 0.500 0.000 0.494 x2
Mg 0.500 0.000 0.990 x2
Mg 0.500 0.244 0.743 x4
Mn 0.000 0.000 0.480 x2

Record 2
SrCd2Pd: simulated X-ray powder pattern (Cu Kα X-rays), based on a DFT-relaxed cell (GGA-PBE, the Materials Project).

Top 10 peaks for 2θ from 5° to 70°, low angle first:
16.6 deg, I 32, hkl 0 2 0; 30.5 deg, I 100, hkl 1 1 2; 31.9 deg, I 41, hkl 1 3 0; 33.7 deg, I 73, hkl 1 3 1; 35.2 deg, I 33, hkl 0 4 1; 36.8 deg, I 33, hkl 0 2 3; 38.8 deg, I 44, hkl 1 3 2; 39.3 deg, I 64, hkl 1 1 3; 39.7 deg, I 52, hkl 2 0 0; 40.2 deg, I 28, hkl 0 4 2

Crystal structure
Lattice parameters (Å, degrees): 4.539 10.711 8.238 90.00 90.00 90.00
Space group Cmcm (No. 63)
One atom of each set of equivalent atoms:
Sr 0.000 0.063 0.250 x4
Cd 0.000 0.350 0.055 x8
Pd 0.000 0.222 0.750 x4